Structure and computed powder X-ray diffraction pattern of SnHgPb (a cell relaxed with PBE; λ = 1.5418 Å (Cu Kα)).

Atomic structure:
```
12
Lattice="6.980 0.000 0.000 0.000 10.116 0.000 -1.846 0.000 4.740" Properties=species:S:1:pos:R:3 pbc="T T T"
Sn 0.852 1.342 0.339
Sn -0.072 3.716 2.709
Sn 5.205 6.400 2.031
Sn 4.282 8.774 4.401
Hg 1.003 6.270 0.383
Hg 0.079 8.905 2.753
Hg 5.054 1.211 1.987
Hg 4.131 3.847 4.357
Pb 2.065 6.298 3.534
Pb 2.988 8.876 1.164
Pb 2.145 1.240 3.576
Pb 3.069 3.818 1.206
```

Principal peaks in the range 2θ from 5° to 70°, by angle:
32.39°, d = 2.764 Å, intensity 100; 35.29°, d = 2.543 Å, intensity 20; 35.50°, d = 2.529 Å, intensity 20; 41.66°, d = 2.168 Å, intensity 12; 50.92°, d = 1.793 Å, intensity 14; 61.52°, d = 1.507 Å, intensity 17; 61.79°, d = 1.501 Å, intensity 16; 67.82°, d = 1.382 Å, intensity 12

=====

Structure and computed powder X-ray diffraction pattern of Sn2Hg3Pb (a cell relaxed with PBE; λ = 1.5418 Å (Cu Kα)).

Atomic structure:
```
12
Lattice="9.980 0.000 0.000 0.000 3.361 0.000 -4.964 0.000 10.190" Properties=species:S:1:pos:R:3 pbc="T T T"
Sn -0.515 0.840 1.261
Sn -0.160 0.840 7.706
Sn 5.176 2.521 2.484
Sn 5.531 2.521 8.928
Hg -2.931 0.840 6.440
Hg -1.613 2.521 10.024
Hg 2.258 0.840 2.346
Hg 2.758 2.521 7.844
Hg 6.629 0.840 0.165
Hg 7.947 2.521 3.750
Pb 0.892 2.521 4.994
Pb 4.124 0.840 5.196
```

Principal peaks in the range 2θ from 5° to 70°, by angle:
29.88°, d = 2.991 Å, intensity 73; 31.02°, d = 2.883 Å, intensity 100; 31.90°, d = 2.806 Å, intensity 36; 32.04°, d = 2.793 Å, intensity 47; 40.29°, d = 2.239 Å, intensity 26; 41.90°, d = 2.156 Å, intensity 46; 45.26°, d = 2.003 Å, intensity 30; 55.93°, d = 1.644 Å, intensity 29

=====

Structure and computed powder X-ray diffraction pattern of Sn2Hg7Pb (a cell relaxed with PBE; λ = 1.5418 Å (Cu Kα)).

Atomic structure:
```
10
Lattice="4.924 -9.120 0.000 4.924 9.120 0.000 0.000 0.000 3.314" Properties=species:S:1:pos:R:3 pbc="T T T"
Sn 4.924 6.020 0.000
Sn 4.924 -6.020 0.000
Hg 0.000 0.000 0.000
Hg 2.666 1.857 0.000
Hg 4.924 3.404 1.657
Hg 2.666 -1.857 0.000
Hg 7.181 1.857 0.000
Hg 4.924 -3.404 1.657
Hg 7.181 -1.857 0.000
Pb 4.924 0.000 1.657
```

Principal peaks in the range 2θ from 5° to 70°, by angle:
26.65°, d = 3.345 Å, intensity 73; 28.84°, d = 3.095 Å, intensity 48; 32.57°, d = 2.749 Å, intensity 44; 34.68°, d = 2.587 Å, intensity 100; 36.50°, d = 2.462 Å, intensity 57; 37.80°, d = 2.380 Å, intensity 71; 38.93°, d = 2.313 Å, intensity 53; 60.26°, d = 1.536 Å, intensity 35